[1]
For Gd3ReO7, DFT lattice parameters and positions (PBE) gives the calculated X-ray powder pattern in this record (Cu Kα, 1.54184 Å).
Kinematic intensities with the Lorentz-polarization factor, no thermal factor.

Top 10 peaks for 2θ = 10–90°, low angle first:
two_theta  d_spacing  I/Imax
29.05  3.074  100
33.34  2.688  13
33.83  2.650  23
48.23  1.887  27
48.58  1.874  13
56.97  1.616  13
57.60  1.600  24
60.20  1.537  9
78.05  1.224  5
78.11  1.224  4

Cell and atoms:
Cell lengths 6.5507, 6.5507, 7.5018 Å; angles 90.00, 90.00, 69.72 degrees
Fractional positions:
Gd: 0.0000 0.0000 0.0000
Gd: 0.0000 0.0000 0.5000
Gd: 0.0552 0.4794 0.7500
Gd: 0.4794 0.0552 0.2500
Gd: 0.5206 0.9448 0.7500
Gd: 0.9448 0.5206 0.2500
Re: 0.5000 0.5000 0.0000
Re: 0.5000 0.5000 0.5000
O: 0.1108 0.1548 0.2500
O: 0.1548 0.1108 0.7500
O: 0.1800 0.5674 0.0296
O: 0.1800 0.5674 0.4704
O: 0.4326 0.8200 0.0296
O: 0.4326 0.8200 0.4704
O: 0.4512 0.5488 0.7500
O: 0.5488 0.4512 0.2500
O: 0.5674 0.1800 0.5296
O: 0.5674 0.1800 0.9704
O: 0.8200 0.4326 0.5296
O: 0.8200 0.4326 0.9704
O: 0.8452 0.8892 0.2500
O: 0.8892 0.8452 0.7500

---

[2]
For GdRhO3, DFT lattice parameters and positions (PBE) gives the calculated X-ray powder pattern in this record (Cu Kα, 1.54184 Å).
Kinematic intensities with the Lorentz-polarization factor, no thermal factor.

Top 10 peaks for 2θ = 10–90°, low angle first:
two_theta  d_spacing  I/Imax
22.43  3.964  2
31.93  2.803  100
39.37  2.289  6
45.78  1.982  29
51.56  1.773  1
56.90  1.618  39
66.75  1.401  18
75.91  1.253  17
80.34  1.195  2
84.71  1.144  6

Cell and atoms:
Cell lengths 3.9638, 3.9638, 3.9638 Å; angles 90.00, 90.00, 90.00 degrees
Fractional positions:
Gd: 0.0000 0.0000 0.0000
Rh: 0.5000 0.5000 0.5000
O: 0.0000 0.5000 0.5000
O: 0.5000 0.0000 0.5000
O: 0.5000 0.5000 0.0000